1.
Starting from the GGA-PBE geometry in Alexandria, the X-ray diffraction stick pattern of NdSmDy2Ho4 was calculated for Cu Kα X-rays.
No peak broadening, texture or thermal motion is included.

Structure:
Cell lengths 7.1459, 7.1474, 11.5143 Å; angles 90.00, 89.99, 60.05 degrees
Atoms (fractional coordinates):
Nd: 0.0000 0.0000 0.0000
Nd: 0.0000 0.5000 0.5000
Sm: 0.0000 0.0000 0.5000
Sm: 0.5000 0.0000 0.5000
Dy: 0.0000 0.5000 0.0000
Dy: 0.5000 0.0000 0.0000
Dy: 0.5000 0.5000 0.0000
Dy: 0.5000 0.5000 0.5000
Ho: 0.1668 0.1670 0.7509
Ho: 0.1667 0.6670 0.7509
Ho: 0.3331 0.3329 0.2490
Ho: 0.3332 0.8331 0.2490
Ho: 0.6669 0.1669 0.7510
Ho: 0.6669 0.6671 0.7510
Ho: 0.8333 0.3330 0.2491
Ho: 0.8332 0.8330 0.2491

Main lines, low angle first (2θ = 10–90°):
- 29.89 deg, I = 46
- 31.07 deg, I = 35
- 32.85 deg, I = 100
- 37.32 deg, I = 26
- 51.11 deg, I = 26
- 56.41 deg, I = 22
- 61.03 deg, I = 31
- 62.10 deg, I = 16


2.
Starting from the GGA-PBE geometry in Alexandria, the X-ray diffraction stick pattern of NdSm2DyHo5 was calculated for Cu Kα X-rays.
No peak broadening, texture or thermal motion is included.

Structure:
Cell lengths 9.8288, 9.8288, 9.8288 Å; angles 127.15, 127.15, 78.00 degrees
Atoms (fractional coordinates):
Nd: 0.2500 0.2500 0.0000
Nd: 0.7500 0.7500 0.0000
Sm: 0.1159 0.6159 0.7317
Sm: 0.3841 0.1159 0.5000
Sm: 0.6159 0.8841 0.5000
Sm: 0.8841 0.3841 0.2683
Dy: 0.2500 0.7500 0.5000
Dy: 0.7500 0.2500 0.5000
Ho: 0.0000 0.0000 0.0000
Ho: 0.0724 0.1550 0.5000
Ho: 0.1550 0.6550 0.0826
Ho: 0.3450 0.4276 0.5000
Ho: 0.4276 0.9276 0.0826
Ho: 0.5000 0.5000 0.0000
Ho: 0.5724 0.0724 0.9174
Ho: 0.6550 0.5724 0.5000
Ho: 0.8450 0.3450 0.9174
Ho: 0.9276 0.8450 0.5000

Main lines, low angle first (2θ = 10–90°):
- 28.82 deg, I = 99
- 31.09 deg, I = 100
- 37.54 deg, I = 17
- 43.03 deg, I = 21
- 47.63 deg, I = 13
- 52.56 deg, I = 23
- 56.68 deg, I = 20
- 79.85 deg, I = 13


3.
Starting from the GGA-PBE geometry in Alexandria, the X-ray diffraction stick pattern of Nd2Sm2DyHo4 was calculated for Cu Kα X-rays.
No peak broadening, texture or thermal motion is included.

Structure:
Cell lengths 9.5549, 9.5549, 9.6147 Å; angles 115.25, 115.25, 21.81 degrees
Atoms (fractional coordinates):
Nd: 0.1653 0.1653 0.0012
Nd: 0.8347 0.8347 0.9988
Sm: 0.3528 0.3528 0.3372
Sm: 0.6472 0.6472 0.6628
Dy: 0.5000 0.5000 0.0000
Ho: 0.0193 0.0193 0.3327
Ho: 0.3152 0.3152 0.6641
Ho: 0.6848 0.6848 0.3359
Ho: 0.9807 0.9807 0.6673

Main lines, low angle first (2θ = 10–90°):
- 28.73 deg, I = 36
- 30.98 deg, I = 51
- 31.74 deg, I = 100
- 33.43 deg, I = 90
- 50.52 deg, I = 39
- 54.48 deg, I = 21
- 57.76 deg, I = 20
- 60.45 deg, I = 46


4.
Starting from the GGA-PBE geometry in Alexandria, the X-ray diffraction stick pattern of Tb2NdDy2Ho was calculated for Cu Kα X-rays.
No peak broadening, texture or thermal motion is included.

Structure:
Cell lengths 6.5484, 17.8102, 3.3971 Å; angles 90.00, 90.00, 90.00 degrees
Atoms (fractional coordinates):
Tb: 0.2241 0.1855 0.0000
Tb: 0.2759 0.6855 0.5000
Tb: 0.7241 0.3145 0.5000
Tb: 0.7759 0.8145 0.0000
Nd: 0.0000 0.0000 0.0000
Nd: 0.5000 0.5000 0.5000
Dy: 0.2210 0.3520 0.5000
Dy: 0.2790 0.8520 0.0000
Dy: 0.7210 0.1480 0.0000
Dy: 0.7790 0.6480 0.5000
Ho: 0.0000 0.5000 0.0000
Ho: 0.5000 0.0000 0.5000

Main lines, low angle first (2θ = 10–90°):
- 29.06 deg, I = 100
- 30.11 deg, I = 80
- 30.31 deg, I = 94
- 31.32 deg, I = 38
- 33.14 deg, I = 33
- 33.99 deg, I = 61
- 35.97 deg, I = 40
- 41.20 deg, I = 64


5.
Starting from the GGA-PBE geometry in Alexandria, the X-ray diffraction stick pattern of Tb2Nd4DyHo was calculated for Cu Kα X-rays.
No peak broadening, texture or thermal motion is included.

Structure:
Cell lengths 5.1182, 5.1465, 10.1221 Å; angles 90.00, 90.07, 90.00 degrees
Atoms (fractional coordinates):
Tb: 0.0000 0.0000 0.0000
Tb: 0.5000 0.5000 0.5000
Nd: 0.9997 0.5000 0.2496
Nd: 0.0003 0.5000 0.7504
Nd: 0.4998 0.0000 0.2499
Nd: 0.5002 0.0000 0.7501
Dy: 0.0000 0.0000 0.5000
Ho: 0.5000 0.5000 0.0000

Main lines, low angle first (2θ = 10–90°):
- 30.31 deg, I = 100
- 34.87 deg, I = 17
- 35.07 deg, I = 17
- 35.47 deg, I = 16
- 59.71 deg, I = 15
- 59.98 deg, I = 14
- 60.52 deg, I = 14
- 63.04 deg, I = 12


6.
Starting from the GGA-PBE geometry in Alexandria, the X-ray diffraction stick pattern of TbNd2DyHo was calculated for Cu Kα X-rays.
No peak broadening, texture or thermal motion is included.

Structure:
Cell lengths 6.2346, 8.1183, 6.7072 Å; angles 90.00, 90.00, 90.00 degrees
Atoms (fractional coordinates):
Tb: 0.0000 0.0000 0.0000
Tb: 0.5000 0.0000 0.0000
Nd: 0.2500 0.3025 0.3028
Nd: 0.2500 0.6975 0.3028
Nd: 0.7500 0.3025 0.6972
Nd: 0.7500 0.6975 0.6972
Dy: 0.2500 0.0000 0.5834
Dy: 0.7500 0.0000 0.4166
Ho: 0.2500 0.5000 0.8361
Ho: 0.7500 0.5000 0.1639

Main lines, low angle first (2θ = 10–90°):
- 28.64 deg, I = 29
- 28.80 deg, I = 42
- 29.44 deg, I = 100
- 32.25 deg, I = 48
- 33.57 deg, I = 46
- 46.45 deg, I = 35
- 53.10 deg, I = 26
- 55.41 deg, I = 24